Zr5N5O2: simulated powder diffraction line list (Cu Kα (λ = 1.5418 Å)), based on DFT lattice parameters and positions (PBE).
No peak broadening, texture or thermal motion is included.

```
Zr5N5O2
1.0
5.288 -1.560 0.000
5.288 1.560 0.000
-5.061 0.000 17.832
Zr N O
10 10 4
direct
0.000 0.000 0.000
0.002 0.002 0.503
0.188 0.188 0.389
0.191 0.191 0.890
0.291 0.291 0.103
0.300 0.300 0.600
0.411 0.411 0.310
0.416 0.416 0.812
0.597 0.597 0.695
0.609 0.609 0.201
0.039 0.039 0.277
0.040 0.040 0.777
0.255 0.255 0.207
0.567 0.567 0.924
0.568 0.568 0.426
0.640 0.640 0.072
0.643 0.643 0.574
0.805 0.805 0.354
0.809 0.809 0.855
0.956 0.956 0.628
0.256 0.256 0.708
0.347 0.347 0.495
0.348 0.348 0.996
0.956 0.956 0.124
```

Peak list (10 most intense, 10° ≤ 2θ ≤ 90°, low angle first)
2θ = 30.02°, intensity 100; 2θ = 30.41°, intensity 72; 2θ = 32.41°, intensity 34; 2θ = 33.91°, intensity 40; 2θ = 34.83°, intensity 18; 2θ = 38.65°, intensity 23; 2θ = 40.75°, intensity 37; 2θ = 42.43°, intensity 26; 2θ = 53.24°, intensity 17; 2θ = 58.09°, intensity 19